The following is a simulated powder XRD pattern of Cs14Cd6O3. It was derived from DFT lattice parameters and positions (GGA-PBE), using Cu Kα.

Structure:
```
data_Cs14Cd6O3
_cell_length_a 14.2670
_cell_length_b 14.2670
_cell_length_c 7.8211
_cell_angle_alpha 90.00
_cell_angle_beta 90.00
_cell_angle_gamma 120.00
_symmetry_space_group_name_H-M 'P 3'
_symmetry_Int_Tables_number 143
loop_
_symmetry_equiv_pos_as_xyz
'x,y,z'
'-y,x-y,z'
'-x+y,-x,z'
loop_
_atom_site_label
_atom_site_type_symbol
_atom_site_fract_x
_atom_site_fract_y
_atom_site_fract_z
Cs1 Cs 0.0000 0.0000 0.0000
Cs2 Cs 0.0753 0.8713 0.5539
Cs3 Cs 0.2128 0.4622 0.0286
Cs4 Cs 0.3333 0.6667 0.4722
Cs5 Cs 0.4681 0.2126 0.7567
Cs6 Cs 0.5409 0.4055 0.1734
Cd1 Cd 0.0328 0.5486 0.6710
Cd2 Cd 0.3013 0.0988 0.2297
O1 O 0.0000 0.0000 0.6608
O2 O 0.3333 0.6667 0.1338
O3 O 0.6667 0.3333 0.9645
```

Top 10 peaks for 2θ from 5° to 70°, in order of rising 2θ:
two_theta, d/Å, I (rel.)
22.17, 4.010, 66
23.87, 3.728, 43
24.43, 3.644, 100
26.00, 3.428, 32
28.44, 3.139, 57
31.13, 2.873, 23
34.81, 2.577, 22
39.60, 2.276, 24
45.53, 1.992, 21
50.63, 1.803, 23